[1]
Starting from a GGA-PBE-relaxed structure, the X-ray powder pattern of TiIrF was simulated for λ = 1.5418 Å (Cu Kα).

Largest 6 diffraction maxima, in order of rising 2θ, 5 to 70 degrees two-theta:
2θ = 12.33°, intensity 100; 2θ = 31.72°, intensity 32; 2θ = 32.14°, intensity 21; 2θ = 39.47°, intensity 17; 2θ = 41.96°, intensity 42; 2θ = 49.36°, intensity 21

Atomic structure:
```
TiIrF
1.0
1.4195 -7.1763 0.0000
1.4195 7.1763 0.0000
0.0000 0.0000 4.5658
Ti Ir F
2 2 2
Direct
0.1027 0.8973 0.5000
0.8973 0.1027 0.0000
0.4479 0.5521 0.5504
0.5521 0.4479 0.0504
0.3018 0.6982 0.0923
0.6982 0.3018 0.5923
```

[2]
Starting from a GGA-PBE-relaxed structure, the X-ray powder pattern of Tl2IrF7 was simulated for λ = 1.5418 Å (Cu Kα).

Largest 6 diffraction maxima, in order of rising 2θ, 5 to 70 degrees two-theta:
2θ = 23.01°, intensity 100; 2θ = 24.67°, intensity 41; 2θ = 28.67°, intensity 25; 2θ = 28.92°, intensity 53; 2θ = 38.17°, intensity 25; 2θ = 38.47°, intensity 25

Atomic structure:
```
Tl2IrF7
1.0
7.2171 -3.1141 0.0000
7.2171 3.1141 0.0000
-7.1825 0.0000 7.8792
Tl Ir F
4 2 14
Direct
0.1268 0.2088 0.0646
0.2088 0.1268 0.5646
0.7912 0.8732 0.4354
0.8732 0.7912 0.9354
0.4739 0.5261 0.7500
0.5261 0.4739 0.2500
0.1576 0.8424 0.7500
0.2011 0.6619 0.2721
0.2944 0.5401 0.8283
0.3050 0.3601 0.5118
0.3381 0.7989 0.2279
0.3601 0.3050 0.0118
0.4599 0.7056 0.6717
0.5401 0.2944 0.3283
0.6399 0.6950 0.9882
0.6619 0.2011 0.7721
0.6950 0.6399 0.4882
0.7056 0.4599 0.1717
0.7989 0.3381 0.7279
0.8424 0.1576 0.2500
```

[3]
Starting from a GGA-PBE-relaxed structure, the X-ray powder pattern of TlIr2F11 was simulated for λ = 1.5418 Å (Cu Kα).

Largest 6 diffraction maxima, in order of rising 2θ, 5 to 70 degrees two-theta:
2θ = 20.69°, intensity 100; 2θ = 21.75°, intensity 47; 2θ = 22.48°, intensity 73; 2θ = 24.05°, intensity 39; 2θ = 28.51°, intensity 36; 2θ = 42.09°, intensity 28

Atomic structure:
```
TlIr2F11
1.0
-4.6796 4.9838 5.5227
4.6796 -4.9838 5.5227
4.6796 4.9838 -5.5227
Tl Ir F
2 4 22
Direct
0.2500 0.2500 0.0000
0.7500 0.7500 0.0000
0.1627 0.6259 0.7886
0.3373 0.1259 0.4632
0.6627 0.8741 0.5368
0.8373 0.3741 0.2114
0.0000 0.5000 0.5000
0.0405 0.3815 0.1771
0.1213 0.3886 0.7536
0.1350 0.8886 0.2673
0.1819 0.2405 0.4224
0.2044 0.8634 0.8229
0.2956 0.1185 0.6590
0.3181 0.7405 0.0586
0.3650 0.6322 0.7536
0.3787 0.1322 0.2673
0.4595 0.6366 0.3410
0.5000 0.0000 0.5000
0.5405 0.3634 0.6590
0.6213 0.8678 0.7327
0.6350 0.3678 0.2464
0.6819 0.2595 0.9414
0.7044 0.8815 0.3410
0.7956 0.1366 0.1771
0.8181 0.7595 0.5776
0.8650 0.1114 0.7327
0.8787 0.6114 0.2464
0.9595 0.6185 0.8229
```

[4]
Starting from a GGA-PBE-relaxed structure, the X-ray powder pattern of K4F was simulated for λ = 1.5418 Å (Cu Kα).

Largest 6 diffraction maxima, in order of rising 2θ, 5 to 70 degrees two-theta:
2θ = 25.24°, intensity 100; 2θ = 29.22°, intensity 83; 2θ = 41.80°, intensity 56; 2θ = 49.46°, intensity 40; 2θ = 51.82°, intensity 18; 2θ = 68.68°, intensity 21

Atomic structure:
```
K4F
1.0
6.1120 0.0000 0.0000
0.0000 6.1120 0.0000
0.0000 0.0000 6.1120
K F
4 1
Direct
0.0000 0.0000 0.0000
0.0000 0.5000 0.5000
0.5000 0.0000 0.5000
0.5000 0.5000 0.0000
0.5000 0.5000 0.5000
```

[5]
Starting from a GGA-PBE-relaxed structure, the X-ray powder pattern of KF6 was simulated for λ = 1.5418 Å (Cu Kα).

Largest 6 diffraction maxima, in order of rising 2θ, 5 to 70 degrees two-theta:
2θ = 23.13°, intensity 21; 2θ = 32.80°, intensity 12; 2θ = 34.72°, intensity 100; 2θ = 42.26°, intensity 15; 2θ = 46.84°, intensity 26; 2θ = 53.17°, intensity 8

Atomic structure:
```
KF6
1.0
3.8791 0.0000 0.0000
0.0000 3.8791 0.0000
0.0000 0.0000 7.6897
K F
1 6
Direct
0.0000 0.0000 0.0000
0.0000 0.5000 0.4070
0.0000 0.5000 0.5930
0.5000 0.0000 0.4070
0.5000 0.0000 0.5930
0.5000 0.5000 0.1280
0.5000 0.5000 0.8720
```

[6]
Starting from a GGA-PBE-relaxed structure, the X-ray powder pattern of K4F5 was simulated for λ = 1.5418 Å (Cu Kα).

Largest 6 diffraction maxima, in order of rising 2θ, 5 to 70 degrees two-theta:
2θ = 25.15°, intensity 36; 2θ = 32.05°, intensity 100; 2θ = 36.41°, intensity 59; 2θ = 36.75°, intensity 83; 2θ = 41.16°, intensity 47; 2θ = 41.96°, intensity 38

Atomic structure:
```
K4F5
1.0
-1.7790 3.5411 6.7622
1.7790 -3.5411 6.7622
1.7790 3.5411 -6.7622
K F
4 5
Direct
0.0951 0.8684 0.2267
0.3583 0.1316 0.2267
0.6417 0.8684 0.7733
0.9049 0.1316 0.7733
0.0000 0.5000 0.5000
0.2346 0.7346 0.5000
0.3497 0.5000 0.8497
0.6503 0.5000 0.1503
0.7654 0.2654 0.5000
```

[7]
Starting from a GGA-PBE-relaxed structure, the X-ray powder pattern of KF5 was simulated for λ = 1.5418 Å (Cu Kα).

Largest 6 diffraction maxima, in order of rising 2θ, 5 to 70 degrees two-theta:
2θ = 28.37°, intensity 100; 2θ = 31.92°, intensity 91; 2θ = 36.53°, intensity 49; 2θ = 39.23°, intensity 29; 2θ = 43.22°, intensity 55; 2θ = 53.70°, intensity 45

Atomic structure:
```
KF5
1.0
-2.8041 2.8041 6.2922
2.8041 -2.8041 6.2922
2.8041 2.8041 -6.2922
K F
2 10
Direct
0.3750 0.6250 0.7500
0.6250 0.3750 0.2500
0.1250 0.8750 0.2500
0.1591 0.2635 0.6043
0.1591 0.5548 0.8957
0.2635 0.1591 0.1043
0.4452 0.8409 0.6043
0.5548 0.1591 0.3957
0.7365 0.8409 0.8957
0.8409 0.4452 0.1043
0.8409 0.7365 0.3957
0.8750 0.1250 0.7500
```

[8]
Starting from a GGA-PBE-relaxed structure, the X-ray powder pattern of K2F3 was simulated for λ = 1.5418 Å (Cu Kα).

Largest 6 diffraction maxima, in order of rising 2θ, 5 to 70 degrees two-theta:
2θ = 26.79°, intensity 69; 2θ = 36.71°, intensity 100; 2θ = 37.38°, intensity 95; 2θ = 40.07°, intensity 20; 2θ = 46.20°, intensity 34; 2θ = 61.80°, intensity 18

Atomic structure:
```
K2F3
1.0
3.4820 -3.8008 0.0000
3.4820 3.8008 0.0000
0.0000 0.0000 6.8858
K F
4 6
Direct
0.1190 0.3714 0.0000
0.3714 0.1190 0.5000
0.6286 0.8810 0.0000
0.8810 0.6286 0.5000
0.1072 0.8928 0.8131
0.2967 0.7033 0.2679
0.4150 0.5850 0.7153
0.5850 0.4150 0.2153
0.7033 0.2967 0.7679
0.8928 0.1072 0.3131
```

[9]
Starting from a GGA-PBE-relaxed structure, the X-ray powder pattern of KF was simulated for λ = 1.5418 Å (Cu Kα).

Largest 6 diffraction maxima, in order of rising 2θ, 5 to 70 degrees two-theta:
2θ = 15.50°, intensity 100; 2θ = 21.99°, intensity 52; 2θ = 27.02°, intensity 40; 2θ = 35.10°, intensity 82; 2θ = 41.81°, intensity 18; 2θ = 47.73°, intensity 61

Atomic structure:
```
KF
1.0
-4.0421 4.0421 4.0421
4.0421 -4.0421 4.0421
4.0421 4.0421 -4.0421
K F
4 4
Direct
0.0000 0.0000 0.3244
0.0000 0.3244 0.0000
0.3244 0.0000 0.0000
0.6756 0.6756 0.6756
0.0000 0.0000 0.6828
0.0000 0.6828 0.0000
0.3172 0.3172 0.3172
0.6828 0.0000 0.0000
```

[10]
Starting from a GGA-PBE-relaxed structure, the X-ray powder pattern of K2LaF5 was simulated for λ = 1.5418 Å (Cu Kα).

Largest 6 diffraction maxima, in order of rising 2θ, 5 to 70 degrees two-theta:
2θ = 15.31°, intensity 100; 2θ = 16.01°, intensity 48; 2θ = 27.51°, intensity 73; 2θ = 27.71°, intensity 93; 2θ = 28.12°, intensity 59; 2θ = 38.84°, intensity 51

Atomic structure:
```
K2LaF5
1.0
11.0709 0.0000 0.0000
0.0000 7.7462 0.0000
0.0000 0.0000 6.7910
K La F
8 4 20
Direct
0.1718 0.0032 0.0254
0.1718 0.4968 0.0254
0.3282 0.5032 0.5254
0.3282 0.9968 0.5254
0.6718 0.0032 0.4746
0.6718 0.4968 0.4746
0.8282 0.5032 0.9746
0.8282 0.9968 0.9746
0.0032 0.2500 0.5654
0.4968 0.7500 0.0654
0.5032 0.2500 0.9346
0.9968 0.7500 0.4346
0.0099 0.2500 0.9096
0.0848 0.5314 0.6469
0.0848 0.9686 0.6469
0.1709 0.2500 0.3575
0.2007 0.7500 0.3269
0.2993 0.2500 0.8269
0.3291 0.7500 0.8575
0.4152 0.0314 0.1469
0.4152 0.4686 0.1469
0.4901 0.7500 0.4096
0.5099 0.2500 0.5904
0.5848 0.5314 0.8531
0.5848 0.9686 0.8531
0.6709 0.2500 0.1425
0.7007 0.7500 0.1731
0.7993 0.2500 0.6731
0.8291 0.7500 0.6425
0.9152 0.0314 0.3531
0.9152 0.4686 0.3531
0.9901 0.7500 0.0904
```